# 1
This entry pairs a crystal structure of Li7Mn2Co3O12 with its simulated X-ray diffraction stick pattern. Radiation: a wavelength of 1.5418 Å. Structure: a DFT-relaxed cell (GGA+U, the Materials Project).
Intensities are scaled so that the largest is 100.

Cell and atoms:
Unit cell a=5.104 b=2.921 c=14.335 alpha=90.00 beta=91.00 gamma=90.00
Fractional positions:
Li1 0.000 0.000 0.000
Li2 0.010 0.000 0.500
Li3 0.167 0.500 0.658
Li4 0.349 0.000 0.339
Li5 0.522 0.500 0.997
Li6 0.682 0.000 0.655
Li7 0.846 0.500 0.342
Mn1 0.178 0.500 0.167
Mn2 0.343 0.000 0.831
Co1 0.511 0.500 0.499
Co2 0.678 0.000 0.167
Co3 0.844 0.500 0.830
O1 0.034 0.000 0.753
O2 0.038 0.000 0.243
O3 0.199 0.500 0.906
O4 0.223 0.500 0.426
O5 0.314 0.000 0.091
O6 0.363 0.000 0.574
O7 0.487 0.500 0.757
O8 0.495 0.500 0.240
O9 0.656 0.000 0.909
O10 0.664 0.000 0.423
O11 0.800 0.500 0.573
O12 0.862 0.500 0.089

Top 6 peaks for 15° ≤ 2θ ≤ 90°, low angle first:
hkl	2theta	d_spacing	I/Imax
0 0 3	18.57	4.778	100
1 1 -1	35.90	2.501	39
1 1 -4	43.55	2.078	56
2 0 4	43.92	2.061	27
3 1 0	63.27	1.470	15
1 1 8	63.88	1.457	14


# 2
This entry pairs a crystal structure of Li2MnCoO4 with its simulated X-ray diffraction stick pattern. Radiation: a wavelength of 1.5418 Å. Structure: a DFT-relaxed cell (GGA+U, the Materials Project).
Intensities are scaled so that the largest is 100.

Cell and atoms:
Unit cell a=2.984 b=5.170 c=9.914 alpha=79.21 beta=85.36 gamma=88.02
Fractional positions:
Li1 0.247 0.124 0.373
Li2 0.252 0.627 0.876
Li3 0.748 0.373 0.124
Li4 0.753 0.876 0.627
Mn1 0.255 0.880 0.127
Mn2 0.745 0.120 0.873
Co1 0.249 0.369 0.624
Co2 0.751 0.631 0.376
O1 0.216 0.007 0.751
O2 0.244 0.527 0.254
O3 0.254 0.732 0.493
O4 0.277 0.232 0.001
O5 0.723 0.768 0.999
O6 0.746 0.268 0.507
O7 0.756 0.473 0.746
O8 0.784 0.993 0.249

Top 6 peaks for 15° ≤ 2θ ≤ 90°, low angle first:
hkl	2theta	d_spacing	I/Imax
0 1 1	18.16	4.886	100
1 0 2	34.15	2.626	19
0 1 -3	35.54	2.526	14
1 1 3	41.01	2.201	31
0 2 -2	43.16	2.096	27
-1 1 3	44.69	2.028	24


# 3
This entry pairs a crystal structure of Li7Mn2Co3O12 with its simulated X-ray diffraction stick pattern. Radiation: a wavelength of 1.5418 Å. Structure: a DFT-relaxed cell (GGA+U, the Materials Project).
Intensities are scaled so that the largest is 100.

Cell and atoms:
Unit cell a=2.976 b=7.613 c=10.117 alpha=72.86 beta=88.89 gamma=80.29
Fractional positions:
Li1 0.000 0.000 0.000
Li2 0.008 0.996 0.485
Li3 0.320 0.335 0.488
Li4 0.347 0.319 0.996
Li5 0.483 0.006 0.229
Li6 0.652 0.668 0.986
Li7 0.661 0.664 0.486
Mn1 0.830 0.330 0.740
Mn2 0.836 0.326 0.239
Co1 0.158 0.667 0.738
Co2 0.160 0.676 0.243
Co3 0.501 0.997 0.738
O1 0.074 0.829 0.854
O2 0.093 0.813 0.355
O3 0.203 0.503 0.622
O4 0.263 0.488 0.137
O5 0.395 0.188 0.348
O6 0.458 0.157 0.857
O7 0.557 0.809 0.125
O8 0.582 0.837 0.620
O9 0.727 0.502 0.853
O10 0.776 0.504 0.350
O11 0.903 0.181 0.120
O12 0.929 0.164 0.623

Top 6 peaks for 15° ≤ 2θ ≤ 90°, low angle first:
hkl	2theta	d_spacing	I/Imax
0 0 2	18.36	4.832	100
1 -1 0	34.99	2.565	17
1 2 0	36.12	2.487	13
1 -1 2	42.04	2.149	33
1 2 -2	43.81	2.067	29
0 3 4	44.77	2.024	26